Structure and computed X-ray diffraction stick pattern of In3Pd12W (a structure optimized by DFT (GGA-PBE); CuKα).

Cell and atoms:
```
16
Lattice="3.993 0.000 0.000 0.000 3.993 0.000 0.000 0.000 16.213" Properties=species:S:1:pos:R:3 pbc="T T T"
In 0.000 0.000 0.000
In 0.000 0.000 4.031
In 0.000 0.000 12.182
Pd 0.000 1.996 2.057
Pd 0.000 1.996 6.239
Pd 0.000 1.996 9.974
Pd 0.000 1.996 14.156
Pd 1.996 0.000 2.057
Pd 1.996 0.000 6.239
Pd 1.996 0.000 9.974
Pd 1.996 0.000 14.156
Pd 1.996 1.996 0.000
Pd 1.996 1.996 4.164
Pd 1.996 1.996 8.106
Pd 1.996 1.996 12.049
W 0.000 0.000 8.106
```

Most intense lines, 2θ = 5–70°, sorted by position:
- d 16.213, 2θ 5.5, I 5
- d 2.317, 2θ 38.9, I 100
- d 2.027, 2θ 44.7, I 16
- d 1.996, 2θ 45.4, I 32
- d 1.422, 2θ 65.6, I 20
- d 1.412, 2θ 66.2, I 10



Structure and computed X-ray diffraction stick pattern of Y2InPd5 (a structure optimized by DFT (GGA-PBE); CuKα).

Cell and atoms:
```
8
Lattice="0.000 4.534 3.679 4.523 0.000 3.679 4.523 4.534 0.000" Properties=species:S:1:pos:R:3 pbc="T T T"
Y 2.261 2.267 0.000
Y 2.261 2.267 3.679
In 4.523 4.534 3.070
Pd 4.523 4.534 0.153
Pd 6.534 4.534 5.454
Pd 4.523 2.514 5.457
Pd 2.511 4.534 5.454
Pd 4.523 6.554 5.457
```

Most intense lines, 2θ = 5–70°, sorted by position:
- d 2.415, 2θ 37.2, I 100
- d 2.290, 2θ 39.3, I 10
- d 2.267, 2θ 39.8, I 22
- d 2.261, 2θ 39.9, I 22
- d 1.601, 2θ 57.6, I 13
- d 1.428, 2θ 65.4, I 12



Structure and computed X-ray diffraction stick pattern of YIn4Pd15 (a structure optimized by DFT (GGA-PBE); CuKα).

Cell and atoms:
```
20
Lattice="4.071 0.000 0.000 0.000 4.071 0.000 0.000 0.000 20.171" Properties=species:S:1:pos:R:3 pbc="T T T"
Y 0.000 0.000 0.000
In 0.000 0.000 4.117
In 0.000 0.000 8.088
In 0.000 0.000 12.083
In 0.000 0.000 16.054
Pd 0.000 2.035 2.106
Pd 0.000 2.035 6.097
Pd 0.000 2.035 10.086
Pd 0.000 2.035 14.075
Pd 0.000 2.035 18.065
Pd 2.035 0.000 2.106
Pd 2.035 0.000 6.097
Pd 2.035 0.000 10.086
Pd 2.035 0.000 14.075
Pd 2.035 0.000 18.065
Pd 2.035 2.035 0.000
Pd 2.035 2.035 4.086
Pd 2.035 2.035 8.094
Pd 2.035 2.035 12.077
Pd 2.035 2.035 16.085
```

Most intense lines, 2θ = 5–70°, sorted by position:
- d 2.343, 2θ 38.4, I 100
- d 2.186, 2θ 41.3, I 1
- d 2.035, 2θ 44.5, I 33
- d 2.017, 2θ 44.9, I 16
- d 1.439, 2θ 64.8, I 10
- d 1.433, 2θ 65.1, I 20



Structure and computed X-ray diffraction stick pattern of Y3In2Pd2 (a structure optimized by DFT (GGA-PBE); CuKα).

Cell and atoms:
```
14
Lattice="3.978 0.000 0.000 0.000 22.708 0.000 0.000 0.000 3.741" Properties=species:S:1:pos:R:3 pbc="T T T"
Y 0.000 0.000 0.000
Y 0.000 3.849 0.000
Y 0.000 18.859 0.000
Y 1.989 7.505 0.000
Y 1.989 11.354 0.000
Y 1.989 15.203 0.000
In 0.000 9.475 1.871
In 0.000 13.233 1.871
In 1.989 1.879 1.871
In 1.989 20.829 1.871
Pd 0.000 6.608 1.871
Pd 0.000 16.101 1.871
Pd 1.989 4.747 1.871
Pd 1.989 17.962 1.871
```

Most intense lines, 2θ = 5–70°, sorted by position:
- d 2.706, 2θ 33.1, I 100
- d 2.661, 2θ 33.7, I 65
- d 2.514, 2θ 35.7, I 71
- d 1.989, 2θ 45.6, I 27
- d 1.593, 2θ 57.9, I 26
- d 1.501, 2θ 61.8, I 28



Structure and computed X-ray diffraction stick pattern of Y4In3Pd (a structure optimized by DFT (GGA-PBE); CuKα).

Cell and atoms:
```
8
Lattice="3.590 0.000 0.000 0.000 3.590 0.000 0.000 0.000 15.803" Properties=species:S:1:pos:R:3 pbc="T T T"
Y 0.000 0.000 1.702
Y 0.000 0.000 5.828
Y 0.000 0.000 9.974
Y 0.000 0.000 14.101
In 1.795 1.795 3.782
In 1.795 1.795 7.901
In 1.795 1.795 12.021
Pd 1.795 1.795 0.000
```

Most intense lines, 2θ = 5–70°, sorted by position:
- d 2.657, 2θ 33.7, I 100
- d 2.538, 2θ 35.4, I 47
- d 1.975, 2θ 45.9, I 8
- d 1.795, 2θ 50.9, I 16
- d 1.559, 2θ 59.3, I 15
- d 1.487, 2θ 62.4, I 32



Structure and computed X-ray diffraction stick pattern of Y3In7Pd4 (a structure optimized by DFT (GGA-PBE); CuKα).

Cell and atoms:
```
14
Lattice="8.398 -2.207 0.000 8.398 2.207 0.000 -5.895 0.000 8.424" Properties=species:S:1:pos:R:3 pbc="T T T"
Y 0.000 0.000 0.000
Y 3.392 0.000 2.515
Y 7.510 0.000 5.909
In -2.947 0.000 4.212
In 0.198 0.000 3.609
In -0.401 0.000 8.195
In 4.093 0.000 5.994
In 6.809 0.000 2.430
In 11.303 0.000 0.229
In 10.704 0.000 4.815
Pd -2.926 0.000 7.020
Pd 1.369 0.000 6.190
Pd 9.533 0.000 2.234
Pd 13.828 0.000 1.403
```

Most intense lines, 2θ = 5–70°, sorted by position:
- d 2.745, 2θ 32.6, I 93
- d 2.665, 2θ 33.6, I 87
- d 2.648, 2θ 33.9, I 36
- d 2.486, 2θ 36.1, I 36
- d 2.294, 2θ 39.3, I 43
- d 2.206, 2θ 40.9, I 100



Structure and computed X-ray diffraction stick pattern of Y11In9Pd4 (a structure optimized by DFT (GGA-PBE); CuKα).

Cell and atoms:
```
24
Lattice="7.333 -11.034 0.000 7.333 11.034 0.000 0.000 0.000 3.685" Properties=species:S:1:pos:R:3 pbc="T T T"
Y 0.000 0.000 0.000
Y 3.552 3.776 0.000
Y 7.333 7.488 0.000
Y 4.508 0.000 0.000
Y 7.333 2.829 0.000
Y 3.552 -3.776 0.000
Y 11.114 3.776 0.000
Y 7.333 -2.829 0.000
Y 10.158 0.000 0.000
Y 7.333 -7.488 0.000
Y 11.114 -3.776 0.000
In 2.115 1.584 1.843
In 5.785 5.241 1.843
In 2.115 -1.584 1.843
In 8.880 5.241 1.843
In 7.333 0.000 1.843
In 5.785 -5.241 1.843
In 12.550 1.584 1.843
In 8.880 -5.241 1.843
In 12.550 -1.584 1.843
Pd 5.098 2.231 1.843
Pd 5.098 -2.231 1.843
Pd 9.568 2.231 1.843
Pd 9.568 -2.231 1.843
```

Most intense lines, 2θ = 5–70°, sorted by position:
- d 2.731, 2θ 32.8, I 12
- d 2.600, 2θ 34.5, I 100
- d 2.450, 2θ 36.7, I 9
- d 2.418, 2θ 37.2, I 8
- d 1.843, 2θ 49.5, I 11
- d 1.502, 2θ 61.7, I 14



Structure and computed X-ray diffraction stick pattern of YIn2Pd3 (a structure optimized by DFT (GGA-PBE); CuKα).

Cell and atoms:
```
12
Lattice="4.773 0.000 0.000 -2.386 4.133 0.000 0.000 0.000 11.630" Properties=species:S:1:pos:R:3 pbc="T T T"
Y 0.000 2.756 1.980
Y 2.386 1.378 9.651
In 0.000 0.000 0.000
In 0.000 0.000 5.815
In 0.000 2.756 7.768
In 2.386 1.378 3.863
Pd 0.000 0.000 3.046
Pd 0.000 0.000 8.584
Pd 0.000 2.756 4.954
Pd 0.000 2.756 10.647
Pd 2.386 1.378 0.983
Pd 2.386 1.378 6.676
```

Most intense lines, 2θ = 5–70°, sorted by position:
- d 11.630, 2θ 7.6, I 2
- d 2.386, 2θ 37.7, I 100
- d 2.378, 2θ 37.8, I 97
- d 1.685, 2θ 54.5, I 33
- d 1.377, 2θ 68.1, I 50
- d 1.371, 2θ 68.4, I 15



Structure and computed X-ray diffraction stick pattern of YZrInPd (a structure optimized by DFT (GGA-PBE); CuKα).

Cell and atoms:
```
16
Lattice="7.115 0.000 0.000 0.000 7.115 0.000 0.000 0.000 7.115" Properties=species:S:1:pos:R:3 pbc="T T T"
Y 0.000 0.000 0.000
Y 0.000 3.558 3.558
Y 3.558 0.000 3.558
Y 3.558 3.558 0.000
Zr 0.000 0.000 3.558
Zr 0.000 3.558 0.000
Zr 3.558 0.000 0.000
Zr 3.558 3.558 3.558
In 1.779 1.779 5.336
In 1.779 5.336 1.779
In 5.336 1.779 1.779
In 5.336 5.336 5.336
Pd 1.779 1.779 1.779
Pd 1.779 5.336 5.336
Pd 5.336 1.779 5.336
Pd 5.336 5.336 1.779
```

Most intense lines, 2θ = 5–70°, sorted by position:
- d 3.558, 2θ 25.0, I 1
- d 2.516, 2θ 35.7, I 100
- d 1.779, 2θ 51.4, I 17
- d 1.591, 2θ 58.0, I 1
- d 1.452, 2θ 64.1, I 35



Structure and computed X-ray diffraction stick pattern of Yb2In13Pd6 (a structure optimized by DFT (GGA-PBE); CuKα).

Cell and atoms:
```
21
Lattice="8.554 -2.210 0.000 8.554 2.210 0.000 -6.488 0.000 11.956" Properties=species:S:1:pos:R:3 pbc="T T T"
Yb 1.264 0.000 3.240
Yb 9.356 0.000 8.716
In 0.000 0.000 0.000
In -4.333 0.000 8.043
In -0.048 0.000 6.462
In 4.309 0.000 1.472
In -0.052 0.000 11.039
In 4.355 0.000 4.806
In 2.987 0.000 9.886
In 7.633 0.000 2.071
In 6.264 0.000 7.151
In 10.671 0.000 0.918
In 6.310 0.000 10.484
In 10.667 0.000 5.494
In 14.952 0.000 3.913
Pd -3.977 0.000 10.969
Pd -1.672 0.000 8.800
Pd 2.754 0.000 7.121
Pd 7.865 0.000 4.836
Pd 12.292 0.000 3.156
Pd 14.596 0.000 0.987
```

Most intense lines, 2θ = 5–70°, sorted by position:
- d 2.727, 2θ 32.8, I 38
- d 2.679, 2θ 33.4, I 56
- d 2.625, 2θ 34.2, I 65
- d 2.575, 2θ 34.8, I 39
- d 2.263, 2θ 39.8, I 38
- d 2.211, 2θ 40.8, I 100



Structure and computed X-ray diffraction stick pattern of Zn2InPd3 (a structure optimized by DFT (GGA-PBE); CuKα).

Cell and atoms:
```
6
Lattice="3.069 0.000 0.000 0.000 3.069 0.000 0.000 0.000 9.920" Properties=species:S:1:pos:R:3 pbc="T T T"
Zn 0.000 0.000 1.539
Zn 0.000 0.000 8.381
In 0.000 0.000 4.960
Pd 1.535 1.535 0.000
Pd 1.535 1.535 3.096
Pd 1.535 1.535 6.824
```

Most intense lines, 2θ = 5–70°, sorted by position:
- d 2.610, 2θ 34.4, I 6
- d 2.249, 2θ 40.1, I 100
- d 2.170, 2θ 41.6, I 48
- d 1.653, 2θ 55.6, I 8
- d 1.535, 2θ 60.3, I 16
- d 1.464, 2θ 63.5, I 3



Structure and computed X-ray diffraction stick pattern of Zr2InPd4 (a structure optimized by DFT (GGA-PBE); CuKα).

Cell and atoms:
```
14
Lattice="5.787 0.000 0.000 -1.734 7.001 0.000 -1.685 -3.570 6.321" Properties=species:S:1:pos:R:3 pbc="T T T"
Zr 0.000 0.000 0.000
Zr -1.724 0.674 5.809
Zr 1.446 0.006 3.033
Zr 2.612 2.401 1.104
In 0.480 3.012 3.875
In 4.315 0.061 2.689
Pd -1.608 4.788 1.867
Pd -0.234 2.293 1.433
Pd -0.280 -1.565 4.836
Pd 1.049 6.848 0.071
Pd 1.268 4.759 1.915
Pd 1.164 0.928 5.644
Pd 2.555 -1.521 5.102
Pd 3.420 2.613 3.837
```

Most intense lines, 2θ = 5–70°, sorted by position:
- d 2.386, 2θ 37.7, I 100
- d 2.368, 2θ 38.0, I 35
- d 2.352, 2θ 38.3, I 25
- d 2.333, 2θ 38.6, I 70
- d 2.300, 2θ 39.2, I 93
- d 2.286, 2θ 39.4, I 42